The following is a calculated X-ray diffraction stick pattern of HoFeGe2O7. It was derived from DFT lattice parameters and positions (PBE+U), using Cu Kα (λ = 1.5418 Å).
Kinematic intensities with the Lorentz-polarization factor, no thermal factor.

Main lines, low angle first (2θ from 15° to 90°):
two_theta, intensity
26.84, 28
27.61, 100
29.92, 44
33.82, 15
34.18, 33
35.70, 17
47.29, 18
53.14, 17
55.89, 12
59.05, 17

Crystal structure
Cell: 6.9442 6.9442 6.6959 Å, 110.66 110.66 77.44°
Sites, in units of the cell vectors:
Ho 0.2054 0.7946 0.0000
Ho 0.7946 0.2054 0.0000
Fe 0.3037 0.6963 0.5000
Fe 0.6963 0.3037 0.5000
Ge 0.2179 0.2179 0.5143
Ge 0.3030 0.3030 0.0767
Ge 0.6970 0.6970 0.9233
Ge 0.7821 0.7821 0.4857
O 0.0537 0.7252 0.5995
O 0.1311 0.1311 0.0323
O 0.2140 0.5686 0.1695
O 0.2748 0.9463 0.4005
O 0.3140 0.3140 0.8119
O 0.3652 0.3652 0.4572
O 0.4314 0.7860 0.8305
O 0.5686 0.2140 0.1695
O 0.6348 0.6348 0.5428
O 0.6860 0.6860 0.1881
O 0.7252 0.0537 0.5995
O 0.7860 0.4314 0.8305
O 0.8689 0.8689 0.9677
O 0.9463 0.2748 0.4005